[1]
Diffraction record for Dy3Zn2Cu9. The X-ray powder pattern is calculated, not measured: it uses a crystal structure in Alexandria, relaxed with PBE and a wavelength of 1.5418 Å.
Intensities are scaled so that the largest is 100.

Most intense lines, 2θ from 10° to 90°, in order of falling intensity:
2.439 Å, 2θ 36.85, rel. 100, hkl 1 2 3
2.389 Å, 2θ 37.66, rel. 54, hkl 0 3 3
2.087 Å, 2θ 43.36, rel. 45, hkl 2 0 0
2.399 Å, 2θ 37.48, rel. 45, hkl 1 3 0
2.931 Å, 2θ 30.50, rel. 27, hkl 1 0 3
2.236 Å, 2θ 40.33, rel. 25, hkl 1 3 2
2.527 Å, 2θ 35.52, rel. 25, hkl 0 2 4
2.126 Å, 2θ 42.53, rel. 21, hkl 1 0 5
1.571 Å, 2θ 58.76, rel. 16, hkl 2 3 3
2.058 Å, 2θ 43.99, rel. 16, hkl 0 0 6

Structure:
abc: 4.1736 8.7973 12.3505
angles: 90.00 90.00 90.00
Space group Immm (No. 71)
Inequivalent atoms, fractional coordinates:
Dy: 0.0000 0.0000 0.0000 [2 per cell]
Dy: 0.0000 0.0000 0.2993 [4 per cell]
Zn: 0.0000 0.2023 0.5000 [4 per cell]
Cu: 0.0000 0.2832 0.1271 [8 per cell]
Cu: 0.0000 0.3584 0.3297 [8 per cell]
Cu: 0.0000 0.5000 0.0000 [2 per cell]


[2]
Diffraction record for Dy2Zn5Cu12. The X-ray powder pattern is calculated, not measured: it uses a crystal structure in Alexandria, relaxed with PBE and a wavelength of 1.5418 Å.
Intensities are scaled so that the largest is 100.

Most intense lines, 2θ from 10° to 90°, in order of falling intensity:
2.151 Å, 2θ 42.00, rel. 100, hkl 0 3 3
2.161 Å, 2θ 41.81, rel. 60, hkl 2 2 0
2.495 Å, 2θ 36.00, rel. 43, hkl 3 0 0
2.425 Å, 2θ 37.07, rel. 32, hkl 0 2 4
2.123 Å, 2θ 42.58, rel. 29, hkl 0 0 6
1.926 Å, 2θ 47.20, rel. 29, hkl 2 2 3
3.029 Å, 2θ 29.49, rel. 26, hkl 1 1 3
2.115 Å, 2θ 42.75, rel. 21, hkl 2 1 4
1.247 Å, 2θ 76.34, rel. 20, hkl 6 0 0
1.364 Å, 2θ 68.82, rel. 17, hkl 3 3 3

Structure:
abc: 8.6428 8.6428 12.7393
angles: 90.00 90.00 120.00
Space group R-3m (No. 166, hexagonal axes)
Inequivalent atoms, fractional coordinates:
Dy: 0.0000 0.0000 0.1487 [6 per cell]
Zn: 0.0000 0.0000 0.4008 [6 per cell]
Zn: 0.0000 0.5000 0.0000 [9 per cell]
Cu: 0.0000 0.3025 0.5000 [18 per cell]
Cu: 0.0036 0.5018 0.6536 [18 per cell]


[3]
Diffraction record for Dy2Zn5Cu3. The X-ray powder pattern is calculated, not measured: it uses a crystal structure in Alexandria, relaxed with PBE and a wavelength of 1.5418 Å.
Intensities are scaled so that the largest is 100.

Most intense lines, 2θ from 10° to 90°, in order of falling intensity:
2.495 Å, 2θ 35.99, rel. 100, hkl 1 1 2
2.709 Å, 2θ 33.06, rel. 55, hkl 1 0 3
1.972 Å, 2θ 46.03, rel. 51, hkl 2 0 0
1.946 Å, 2θ 46.68, rel. 34, hkl 1 0 5
1.385 Å, 2θ 67.65, rel. 23, hkl 2 1 5
1.594 Å, 2θ 57.85, rel. 22, hkl 2 1 3
1.217 Å, 2θ 78.62, rel. 19, hkl 3 1 2
2.788 Å, 2θ 32.11, rel. 16, hkl 1 1 0
1.394 Å, 2θ 67.16, rel. 14, hkl 2 2 0
1.141 Å, 2θ 85.05, rel. 9, hkl 2 0 8

Structure:
abc: 3.9425 3.9425 11.1880
angles: 90.00 90.00 90.00
Space group P-4m2 (No. 115)
Inequivalent atoms, fractional coordinates:
Dy: 0.0000 0.5000 0.2360 [2 per cell]
Zn: 0.0000 0.0000 0.5000 [1 per cell]
Zn: 0.0000 0.5000 0.6466 [2 per cell]
Zn: 0.5000 0.5000 0.0000 [1 per cell]
Zn: 0.5000 0.5000 0.5000 [1 per cell]
Cu: 0.0000 0.0000 0.0000 [1 per cell]
Cu: 0.0000 0.5000 0.8630 [2 per cell]